The following is a simulated powder diffraction line list of LiDy3Ru2. It was derived from a crystal structure in Alexandria, relaxed with GGA-PBE, using Cu Kα (λ = 1.5418 Å).
Kinematic intensities with the Lorentz-polarization factor, no thermal factor.

Largest 8 diffraction maxima, by angle, 2θ from 5° to 70°:
(hkl)	two_theta	Rel. int.
0 0 1	7.7	82.0
0 0 2	15.4	19.1
1 0 0	26.1	21.6
1 0 3	35.3	100.0
1 1 0	37.3	57.7
1 0 4	41.1	38.6
2 0 0	53.8	20.1
2 1 3	66.0	32.0

Structural model:
```
data_LiDy3Ru2
_cell_length_a 3.4092
_cell_length_b 3.4092
_cell_length_c 11.4761
_cell_angle_alpha 90.00
_cell_angle_beta 90.00
_cell_angle_gamma 90.00
_symmetry_space_group_name_H-M 'P 4/m m m'
_symmetry_Int_Tables_number 123
_symmetry_space_group_name_Hall '-P 4 2'
loop_
_atom_site_label
_atom_site_type_symbol
_atom_site_fract_x
_atom_site_fract_y
_atom_site_fract_z
Li1 Li 0.0000 0.0000 0.0000
Dy1 Dy 0.5000 0.5000 0.2078
Dy2 Dy 0.5000 0.5000 0.5000
Ru1 Ru 0.0000 0.0000 0.3441
```

The following is a simulated powder diffraction line list of LiDy6S5. It was derived from a crystal structure in Alexandria, relaxed with GGA-PBE, using Cu Kα (λ = 1.5418 Å).
Kinematic intensities with the Lorentz-polarization factor, no thermal factor.

Largest 8 diffraction maxima, by angle, 2θ from 5° to 70°:
(hkl)	two_theta	Rel. int.
0 0 4	26.0	29.4
1 1 0	27.0	30.1
1 1 1	27.8	56.3
1 1 3	33.5	100.0
1 1 4	37.9	27.9
3 0 0	47.7	38.6
1 1 7	54.5	20.9
3 0 4	55.2	23.8

Structural model:
```
data_LiDy6S5
_cell_length_a 6.6019
_cell_length_b 6.6019
_cell_length_c 13.6893
_cell_angle_alpha 90.00
_cell_angle_beta 90.00
_cell_angle_gamma 120.00
_symmetry_space_group_name_H-M 'P 63/m c m'
_symmetry_Int_Tables_number 193
_symmetry_space_group_name_Hall '-P 6c 2'
loop_
_atom_site_label
_atom_site_type_symbol
_atom_site_fract_x
_atom_site_fract_y
_atom_site_fract_z
Li1 Li 0.0000 0.0000 0.2500
Dy1 Dy 0.0000 0.3373 0.1145
S1 S 0.0000 0.3417 0.7500
S2 S 0.3333 0.6667 0.0000
```

The following is a simulated powder diffraction line list of LiDy4S6. It was derived from a crystal structure in Alexandria, relaxed with GGA-PBE, using Cu Kα (λ = 1.5418 Å).
Kinematic intensities with the Lorentz-polarization factor, no thermal factor.

Largest 8 diffraction maxima, by angle, 2θ from 5° to 70°:
(hkl)	two_theta	Rel. int.
0 0 2	8.8	88.4
1 1 1	24.3	38.2
0 2 5	26.0	100.0
1 3 1	31.3	49.5
1 3 2	32.2	43.9
1 3 3	33.7	50.8
1 5 4	45.7	42.3
0 6 5	47.8	46.5

Structural model:
```
data_LiDy4S6
_cell_length_a 3.8926
_cell_length_b 12.9535
_cell_length_c 20.1876
_cell_angle_alpha 90.00
_cell_angle_beta 90.00
_cell_angle_gamma 90.00
_symmetry_space_group_name_H-M 'C m c m'
_symmetry_Int_Tables_number 63
_symmetry_space_group_name_Hall '-C 2c 2'
loop_
_atom_site_label
_atom_site_type_symbol
_atom_site_fract_x
_atom_site_fract_y
_atom_site_fract_z
Li1 Li 0.0000 0.1778 0.2500
Dy1 Dy 0.0000 0.0972 0.6392
Dy2 Dy 0.0000 0.3678 0.5452
S1 S 0.0000 0.0000 0.0000
S2 S 0.0000 0.2020 0.7500
S3 S 0.0000 0.2751 0.0805
S4 S 0.0000 0.4606 0.6623
```

The following is a simulated powder diffraction line list of LiDyScS3. It was derived from a crystal structure in Alexandria, relaxed with GGA-PBE, using Cu Kα (λ = 1.5418 Å).
Kinematic intensities with the Lorentz-polarization factor, no thermal factor.

Largest 8 diffraction maxima, by angle, 2θ from 5° to 70°:
(hkl)	two_theta	Rel. int.
1 0 -1	14.2	41.9
1 0 1	18.1	36.3
0 0 2	22.3	36.0
2 0 0	23.8	40.9
0 1 1	26.5	38.2
1 1 -2	33.2	25.0
2 1 -1	34.0	100.0
2 1 -3	44.1	23.8

Structural model:
```
data_LiDyScS3
_cell_length_a 7.7021
_cell_length_b 3.7167
_cell_length_c 8.2133
_cell_angle_alpha 90.00
_cell_angle_beta 103.88
_cell_angle_gamma 90.00
_symmetry_space_group_name_H-M 'P 1 21/m 1'
_symmetry_Int_Tables_number 11
loop_
_symmetry_equiv_pos_as_xyz
'x,y,z'
'-x,-y,-z'
'-x,y+1/2,-z'
'x,-y+1/2,z'
loop_
_atom_site_label
_atom_site_type_symbol
_atom_site_fract_x
_atom_site_fract_y
_atom_site_fract_z
Li1 Li 0.0924 0.2500 0.0884
Dy1 Dy 0.1940 0.2500 0.7276
Sc1 Sc 0.3385 0.7500 0.3423
S1 S 0.0981 0.2500 0.3722
S2 S 0.2282 0.7500 0.0004
S3 S 0.4339 0.7500 0.6695
```

The following is a simulated powder diffraction line list of Li2DySnS4. It was derived from a crystal structure in Alexandria, relaxed with GGA-PBE, using Cu Kα (λ = 1.5418 Å).
Kinematic intensities with the Lorentz-polarization factor, no thermal factor.

Largest 8 diffraction maxima, by angle, 2θ from 5° to 70°:
(hkl)	two_theta	Rel. int.
1 0 1	18.2	100.0
1 1 2	28.3	21.8
1 0 3	29.3	30.1
0 0 4	32.3	29.5
2 0 0	33.1	55.3
2 1 1	38.0	32.1
2 0 4	46.9	40.3
2 2 4	58.6	20.6

Structural model:
```
data_Li2DySnS4
_cell_length_a 5.4134
_cell_length_b 5.4134
_cell_length_c 11.0882
_cell_angle_alpha 90.00
_cell_angle_beta 90.00
_cell_angle_gamma 90.00
_symmetry_space_group_name_H-M 'I -4 m 2'
_symmetry_Int_Tables_number 119
_symmetry_space_group_name_Hall 'I -4 -2'
loop_
_atom_site_label
_atom_site_type_symbol
_atom_site_fract_x
_atom_site_fract_y
_atom_site_fract_z
Li1 Li 0.0000 0.0000 0.0000
Li2 Li 0.0000 0.5000 0.2500
Dy1 Dy 0.0000 0.5000 0.7500
Sn1 Sn 0.0000 0.0000 0.5000
S1 S 0.0000 0.0000 0.2537
S2 S 0.0000 0.5000 0.5018
```

The following is a simulated powder diffraction line list of Li3TbDy2S6. It was derived from a crystal structure in Alexandria, relaxed with GGA-PBE, using Cu Kα (λ = 1.5418 Å).
Kinematic intensities with the Lorentz-polarization factor, no thermal factor.

Largest 8 diffraction maxima, by angle, 2θ from 5° to 70°:
(hkl)	two_theta	Rel. int.
0 0 1	14.3	100.0
1 3 0	26.7	71.2
2 0 0	28.0	24.3
1 3 1	32.7	95.1
2 0 1	35.9	33.2
0 6 0	46.3	34.9
2 0 2	47.5	32.3
3 3 0	48.7	27.7

Structural model:
```
data_Li3TbDy2S6
_cell_length_a 6.7896
_cell_length_b 11.7611
_cell_length_c 6.5764
_cell_angle_alpha 90.00
_cell_angle_beta 110.12
_cell_angle_gamma 90.00
_symmetry_space_group_name_H-M 'C 1 2/m 1'
_symmetry_Int_Tables_number 12
loop_
_symmetry_equiv_pos_as_xyz
'x,y,z'
'-x,-y,-z'
'-x,y,-z'
'x,-y,z'
'x+1/2,y+1/2,z'
'-x+1/2,-y+1/2,-z'
'-x+1/2,y+1/2,-z'
'x+1/2,-y+1/2,z'
loop_
_atom_site_label
_atom_site_type_symbol
_atom_site_fract_x
_atom_site_fract_y
_atom_site_fract_z
Li1 Li 0.0000 0.0000 0.0000
Li2 Li 0.0000 0.3329 0.0000
Tb1 Tb 0.0000 0.5000 0.5000
Dy1 Dy 0.0000 0.1666 0.5000
S1 S 0.2491 0.0000 0.7509
S2 S 0.2492 0.1673 0.2493
```

The following is a simulated powder diffraction line list of LiDyU2S6. It was derived from a crystal structure in Alexandria, relaxed with GGA-PBE, using Cu Kα (λ = 1.5418 Å).
Kinematic intensities with the Lorentz-polarization factor, no thermal factor.

Largest 8 diffraction maxima, by angle, 2θ from 5° to 70°:
(hkl)	two_theta	Rel. int.
0 0 1	13.4	44.5
1 1 1	24.4	100.0
2 0 0	28.9	30.9
1 1 2	34.0	26.6
2 0 2	39.9	38.3
2 2 0	41.4	25.7
1 1 3	46.1	19.9
3 1 1	48.6	33.0

Structural model:
```
data_LiDyU2S6
_cell_length_a 6.1755
_cell_length_b 6.1755
_cell_length_c 6.6162
_cell_angle_alpha 90.00
_cell_angle_beta 90.00
_cell_angle_gamma 90.00
_symmetry_space_group_name_H-M 'P 4 m m'
_symmetry_Int_Tables_number 99
loop_
_symmetry_equiv_pos_as_xyz
'x,y,z'
'-y,x,z'
'-x,-y,z'
'y,-x,z'
'-x,y,z'
'y,x,z'
'x,-y,z'
'-y,-x,z'
loop_
_atom_site_label
_atom_site_type_symbol
_atom_site_fract_x
_atom_site_fract_y
_atom_site_fract_z
Li1 Li 0.0000 0.0000 0.0000
Dy1 Dy 0.5000 0.5000 0.0269
U1 U 0.0000 0.5000 0.4489
S1 S 0.0000 0.0000 0.6348
S2 S 0.2402 0.2402 0.2135
S3 S 0.5000 0.5000 0.6256
```

The following is a simulated powder diffraction line list of Li3Dy4US8. It was derived from a crystal structure in Alexandria, relaxed with GGA-PBE, using Cu Kα (λ = 1.5418 Å).
Kinematic intensities with the Lorentz-polarization factor, no thermal factor.

Largest 8 diffraction maxima, by angle, 2θ from 5° to 70°:
(hkl)	two_theta	Rel. int.
1 0 1	14.0	26.3
0 0 3	14.1	28.9
0 1 2	16.2	19.6
0 2 1	27.0	32.1
2 0 2	28.2	41.0
0 2 4	32.7	100.0
2 2 0	46.8	36.1
2 0 8	47.1	35.4

Structural model:
```
data_Li3Dy4US8
_cell_length_a 7.7621
_cell_length_b 7.7621
_cell_length_c 18.8470
_cell_angle_alpha 90.00
_cell_angle_beta 90.00
_cell_angle_gamma 120.00
_symmetry_space_group_name_H-M 'R -3 m'
_symmetry_Int_Tables_number 166
_symmetry_space_group_name_Hall '-R 3 2"'
loop_
_atom_site_label
_atom_site_type_symbol
_atom_site_fract_x
_atom_site_fract_y
_atom_site_fract_z
Li1 Li 0.0000 0.5000 0.0000
Dy1 Dy 0.0000 0.0000 0.5000
Dy2 Dy 0.0000 0.5000 0.5000
U1 U 0.0000 0.0000 0.0000
S1 S 0.0000 0.0000 0.2508
S2 S 0.0037 0.5019 0.2518
```

The following is a simulated powder diffraction line list of Li3DyY2S6. It was derived from a crystal structure in Alexandria, relaxed with GGA-PBE, using Cu Kα (λ = 1.5418 Å).
Kinematic intensities with the Lorentz-polarization factor, no thermal factor.

Largest 8 diffraction maxima, by angle, 2θ from 5° to 70°:
(hkl)	two_theta	Rel. int.
0 0 1	14.3	82.5
1 3 0	26.7	57.8
1 3 1	32.7	100.0
2 0 1	35.9	26.6
0 6 0	46.4	35.5
2 0 2	47.5	32.9
3 3 0	48.8	21.7
4 0 0	57.9	17.9

Structural model:
```
data_Li3DyY2S6
_cell_length_a 6.7817
_cell_length_b 11.7469
_cell_length_c 6.5780
_cell_angle_alpha 90.00
_cell_angle_beta 110.10
_cell_angle_gamma 90.00
_symmetry_space_group_name_H-M 'C 1 2/m 1'
_symmetry_Int_Tables_number 12
loop_
_symmetry_equiv_pos_as_xyz
'x,y,z'
'-x,-y,-z'
'-x,y,-z'
'x,-y,z'
'x+1/2,y+1/2,z'
'-x+1/2,-y+1/2,-z'
'-x+1/2,y+1/2,-z'
'x+1/2,-y+1/2,z'
loop_
_atom_site_label
_atom_site_type_symbol
_atom_site_fract_x
_atom_site_fract_y
_atom_site_fract_z
Li1 Li 0.0000 0.0000 0.0000
Li2 Li 0.0000 0.3331 0.0000
Dy1 Dy 0.0000 0.5000 0.5000
Y1 Y 0.0000 0.1666 0.5000
S1 S 0.2494 0.5000 0.2492
S2 S 0.2499 0.1665 0.2491
```

The following is a simulated powder diffraction line list of Li2DySe2. It was derived from a crystal structure in Alexandria, relaxed with GGA-PBE, using Cu Kα (λ = 1.5418 Å).
Kinematic intensities with the Lorentz-polarization factor, no thermal factor.

Largest 8 diffraction maxima, by angle, 2θ from 5° to 70°:
(hkl)	two_theta	Rel. int.
0 0 3	11.3	100.0
0 1 2	26.5	61.3
0 1 5	31.8	85.7
1 0 7	37.1	34.6
1 1 0	44.8	34.9
0 0 12	46.3	26.8
1 0 10	46.5	25.7
2 0 5	56.0	17.1

Structural model:
```
data_Li2DySe2
_cell_length_a 4.0494
_cell_length_b 4.0494
_cell_length_c 23.5171
_cell_angle_alpha 90.00
_cell_angle_beta 90.00
_cell_angle_gamma 120.00
_symmetry_space_group_name_H-M 'R -3 m'
_symmetry_Int_Tables_number 166
_symmetry_space_group_name_Hall '-R 3 2"'
loop_
_atom_site_label
_atom_site_type_symbol
_atom_site_fract_x
_atom_site_fract_y
_atom_site_fract_z
Li1 Li 0.0000 0.0000 0.2232
Dy1 Dy 0.0000 0.0000 0.0000
Se1 Se 0.0000 0.0000 0.4084
```

The following is a simulated powder diffraction line list of LiDy4Se4. It was derived from a crystal structure in Alexandria, relaxed with GGA-PBE, using Cu Kα (λ = 1.5418 Å).
Kinematic intensities with the Lorentz-polarization factor, no thermal factor.

Largest 8 diffraction maxima, by angle, 2θ from 5° to 70°:
(hkl)	two_theta	Rel. int.
0 0 1	14.1	30.3
2 0 -2	20.0	16.5
1 1 -2	27.4	32.5
0 2 0	31.4	47.5
2 0 1	31.8	100.0
2 2 1	45.3	74.9
6 0 -2	45.6	34.0
6 2 -2	56.5	36.1

Structural model:
```
data_LiDy4Se4
_cell_length_a 12.5680
_cell_length_b 5.6925
_cell_length_c 8.8834
_cell_angle_alpha 90.00
_cell_angle_beta 134.92
_cell_angle_gamma 90.00
_symmetry_space_group_name_H-M 'C 1 2/m 1'
_symmetry_Int_Tables_number 12
loop_
_symmetry_equiv_pos_as_xyz
'x,y,z'
'-x,-y,-z'
'-x,y,-z'
'x,-y,z'
'x+1/2,y+1/2,z'
'-x+1/2,-y+1/2,-z'
'-x+1/2,y+1/2,-z'
'x+1/2,-y+1/2,z'
loop_
_atom_site_label
_atom_site_type_symbol
_atom_site_fract_x
_atom_site_fract_y
_atom_site_fract_z
Li1 Li 0.0000 0.0000 0.0000
Dy1 Dy 0.0960 0.5000 0.8011
Dy2 Dy 0.2041 0.0000 0.6072
Se1 Se 0.0930 0.0000 0.8036
Se2 Se 0.2101 0.5000 0.6176
```

The following is a simulated powder diffraction line list of Li2DySn3Se6. It was derived from a crystal structure in Alexandria, relaxed with GGA-PBE, using Cu Kα (λ = 1.5418 Å).
Kinematic intensities with the Lorentz-polarization factor, no thermal factor.

Largest 8 diffraction maxima, by angle, 2θ from 5° to 70°:
(hkl)	two_theta	Rel. int.
1 1 0	15.0	9.6
1 1 -1	16.8	6.6
2 0 -1	25.4	6.6
1 3 1	30.6	100.0
2 0 2	43.4	37.5
3 3 -1	44.1	36.6
4 0 0	54.6	19.7
2 6 2	63.6	8.1

Structural model:
```
data_Li2DySn3Se6
_cell_length_a 7.1020
_cell_length_b 12.3224
_cell_length_c 7.2549
_cell_angle_alpha 90.00
_cell_angle_beta 108.89
_cell_angle_gamma 90.00
_symmetry_space_group_name_H-M 'C 1 2/m 1'
_symmetry_Int_Tables_number 12
loop_
_symmetry_equiv_pos_as_xyz
'x,y,z'
'-x,-y,-z'
'-x,y,-z'
'x,-y,z'
'x+1/2,y+1/2,z'
'-x+1/2,-y+1/2,-z'
'-x+1/2,y+1/2,-z'
'x+1/2,-y+1/2,z'
loop_
_atom_site_label
_atom_site_type_symbol
_atom_site_fract_x
_atom_site_fract_y
_atom_site_fract_z
Li1 Li 0.0000 0.1717 0.0000
Dy1 Dy 0.0000 0.5000 0.0000
Sn1 Sn 0.0000 0.0000 0.5000
Sn2 Sn 0.0000 0.3357 0.5000
Se1 Se 0.2447 0.3352 0.2333
Se2 Se 0.2487 0.5000 0.7581
```